This entry pairs a crystal structure of CePuMn3 with its computed XRD peak list. Radiation: Cu Kα X-rays. Structure: the PBE geometry in Alexandria.
Intensities are scaled so that the largest is 100.

Top 10 peaks for 10 to 80 degrees two-theta, sorted by position:
(1 1 -1), 2θ 19.38, rel. 34; (0 2 0), 2θ 19.83, rel. 50; (1 1 1), 2θ 30.57, rel. 100; (2 0 -2), 2θ 33.62, rel. 43; (3 1 -1), 2θ 34.93, rel. 77; (2 2 -2), 2θ 39.34, rel. 63; (0 4 0), 2θ 40.29, rel. 43; (1 3 1), 2θ 42.07, rel. 62; (3 3 -1), 2θ 45.48, rel. 40; (2 2 2), 2θ 63.64, rel. 27

Cell and atoms:
```
data_CePuMn3
_chemical_formula_sum 'Ce4 Pu4 Mn12'
_cell_length_a 8.052
_cell_length_b 8.953
_cell_length_c 5.398
_cell_angle_alpha 90.00
_cell_angle_beta 122.44
_cell_angle_gamma 90.00
_symmetry_space_group_name_H-M 'C 1 2/c 1'
_symmetry_Int_Tables_number 15
loop_
_symmetry_equiv_pos_as_xyz
'x,y,z'
'-x,-y,-z'
'-x,y,-z+1/2'
'x,-y,z+1/2'
'x+1/2,y+1/2,z'
'-x+1/2,-y+1/2,-z'
'-x+1/2,y+1/2,-z+1/2'
'x+1/2,-y+1/2,z+1/2'
loop_
_atom_site_label
_atom_site_type_symbol
_atom_site_fract_x
_atom_site_fract_y
_atom_site_fract_z
Ce1 Ce 0.000 0.225 0.250
Pu1 Pu 0.250 0.250 0.000
Mn1 Mn 0.000 0.055 0.750
Mn2 Mn 0.168 0.486 0.744
```

---

This entry pairs a crystal structure of CePuMnZn with its computed XRD peak list. Radiation: Cu Kα X-rays. Structure: the PBE geometry in Alexandria.
Intensities are scaled so that the largest is 100.

Top 10 peaks for 10 to 80 degrees two-theta, sorted by position:
(1 1 1), 2θ 21.96, rel. 8; (2 0 0), 2θ 25.40, rel. 29; (2 2 0), 2θ 36.24, rel. 100; (3 1 1), 2θ 42.77, rel. 5; (2 2 2), 2θ 44.77, rel. 9; (4 0 0), 2θ 52.18, rel. 18; (3 3 1), 2θ 57.27, rel. 2; (4 2 0), 2θ 58.90, rel. 13; (4 2 2), 2θ 65.18, rel. 36; (4 4 0), 2θ 76.92, rel. 11

Cell and atoms:
```
data_CePuMnZn
_chemical_formula_sum 'Ce4 Pu4 Mn4 Zn4'
_cell_length_a 7.012
_cell_length_b 7.012
_cell_length_c 7.012
_cell_angle_alpha 90.00
_cell_angle_beta 90.00
_cell_angle_gamma 90.00
_symmetry_space_group_name_H-M 'F -4 3 m'
_symmetry_Int_Tables_number 216
_symmetry_space_group_name_Hall 'F -4 2 3'
loop_
_atom_site_label
_atom_site_type_symbol
_atom_site_fract_x
_atom_site_fract_y
_atom_site_fract_z
Ce1 Ce 0.000 0.000 0.000
Pu1 Pu 0.000 0.000 0.500
Mn1 Mn 0.250 0.250 0.750
Zn1 Zn 0.250 0.250 0.250
```

---

This entry pairs a crystal structure of CeMnRe with its computed XRD peak list. Radiation: Cu Kα X-rays. Structure: the PBE geometry in Alexandria.
Intensities are scaled so that the largest is 100.

Top 10 peaks for 10 to 80 degrees two-theta, sorted by position:
(0 2 0), 2θ 31.19, rel. 37; (1 1 2), 2θ 35.58, rel. 28; (1 2 1), 2θ 37.91, rel. 26; (2 1 1), 2θ 38.56, rel. 100; (0 2 2), 2θ 41.98, rel. 32; (2 0 2), 2θ 42.77, rel. 20; (0 1 3), 2θ 44.62, rel. 25; (2 3 1), 2θ 60.47, rel. 27; (0 4 0), 2θ 65.03, rel. 17; (2 2 4), 2θ 75.32, rel. 22

Cell and atoms:
```
data_CeMnRe
_chemical_formula_sum 'Ce4 Mn4 Re4'
_cell_length_a 5.559
_cell_length_b 5.735
_cell_length_c 6.514
_cell_angle_alpha 90.00
_cell_angle_beta 90.00
_cell_angle_gamma 90.00
_symmetry_space_group_name_H-M 'I m m a'
_symmetry_Int_Tables_number 74
_symmetry_space_group_name_Hall '-I 2b 2'
loop_
_atom_site_label
_atom_site_type_symbol
_atom_site_fract_x
_atom_site_fract_y
_atom_site_fract_z
Ce1 Ce 0.000 0.250 0.139
Mn1 Mn 0.000 0.000 0.500
Re1 Re 0.250 0.250 0.750
```

---

This entry pairs a crystal structure of TbCe2MnS5 with its computed XRD peak list. Radiation: Cu Kα X-rays. Structure: the PBE geometry in Alexandria.
Intensities are scaled so that the largest is 100.

Top 10 peaks for 10 to 80 degrees two-theta, sorted by position:
(0 4 1), 2θ 22.72, rel. 18; (0 2 3), 2θ 24.64, rel. 52; (0 4 2), 2θ 26.13, rel. 25; (1 3 0), 2θ 28.02, rel. 37; (1 1 3), 2θ 32.46, rel. 100; (0 6 1), 2θ 33.32, rel. 29; (1 5 2), 2θ 38.69, rel. 37; (1 3 4), 2θ 41.26, rel. 15; (2 0 0), 2θ 46.58, rel. 25; (1 7 2), 2θ 47.44, rel. 18

Cell and atoms:
```
data_TbCe2MnS5
_chemical_formula_sum 'Tb4 Ce8 Mn4 S20'
_cell_length_a 3.899
_cell_length_b 16.550
_cell_length_c 12.046
_cell_angle_alpha 90.00
_cell_angle_beta 90.00
_cell_angle_gamma 90.00
_symmetry_space_group_name_H-M 'C m c 21'
_symmetry_Int_Tables_number 36
loop_
_symmetry_equiv_pos_as_xyz
'x,y,z'
'-x,-y,z+1/2'
'-x,y,z'
'x,-y,z+1/2'
'x+1/2,y+1/2,z'
'-x+1/2,-y+1/2,z+1/2'
'-x+1/2,y+1/2,z'
'x+1/2,-y+1/2,z+1/2'
loop_
_atom_site_label
_atom_site_type_symbol
_atom_site_fract_x
_atom_site_fract_y
_atom_site_fract_z
Tb1 Tb 0.000 0.196 0.000
Ce1 Ce 0.000 0.114 0.683
Ce2 Ce 0.000 0.130 0.302
Mn1 Mn 0.000 0.497 0.471
S1 S 0.000 0.040 0.066
S2 S 0.000 0.292 0.659
S3 S 0.000 0.310 0.341
S4 S 0.000 0.359 0.997
S5 S 0.000 0.498 0.779
```

---

This entry pairs a crystal structure of CeMn2Se4 with its computed XRD peak list. Radiation: Cu Kα X-rays. Structure: the PBE geometry in Alexandria.
Intensities are scaled so that the largest is 100.

Top 10 peaks for 10 to 80 degrees two-theta, sorted by position:
(0 2 3), 2θ 25.32, rel. 25; (0 2 4), 2θ 31.48, rel. 53; (1 1 3), 2θ 31.76, rel. 35; (1 3 1), 2θ 32.03, rel. 100; (1 3 2), 2θ 34.32, rel. 70; (1 1 5), 2θ 42.81, rel. 34; (1 5 2), 2θ 45.24, rel. 20; (2 0 0), 2θ 46.04, rel. 32; (0 6 3), 2θ 48.67, rel. 28; (2 6 3), 2θ 69.24, rel. 19

Cell and atoms:
```
data_CeMn2Se4
_chemical_formula_sum 'Ce4 Mn8 Se16'
_cell_length_a 3.943
_cell_length_b 12.496
_cell_length_c 12.766
_cell_angle_alpha 90.00
_cell_angle_beta 90.00
_cell_angle_gamma 90.00
_symmetry_space_group_name_H-M 'P b c m'
_symmetry_Int_Tables_number 57
loop_
_symmetry_equiv_pos_as_xyz
'x,y,z'
'-x,-y,-z'
'-x,-y,z+1/2'
'x,y,-z+1/2'
'x,-y+1/2,-z'
'-x,y+1/2,z'
'-x,y+1/2,-z+1/2'
'x,-y+1/2,z+1/2'
loop_
_atom_site_label
_atom_site_type_symbol
_atom_site_fract_x
_atom_site_fract_y
_atom_site_fract_z
Ce1 Ce 0.249 0.132 0.250
Mn1 Mn 0.251 0.619 0.565
Se1 Se 0.249 0.250 0.000
Se2 Se 0.250 0.523 0.113
Se3 Se 0.251 0.696 0.750
```

---

This entry pairs a crystal structure of CeMn10Si2 with its computed XRD peak list. Radiation: Cu Kα X-rays. Structure: the PBE geometry in Alexandria.
Intensities are scaled so that the largest is 100.

Top 10 peaks for 10 to 80 degrees two-theta, sorted by position:
(2 2 1), 2θ 30.59, rel. 30; (0 4 0), 2θ 37.43, rel. 32; (0 2 3), 2θ 38.40, rel. 44; (3 1 2), 2θ 40.74, rel. 56; (2 4 0), 2θ 43.54, rel. 27; (4 0 0), 2θ 43.75, rel. 36; (0 4 2), 2θ 43.86, rel. 60; (2 2 3), 2θ 44.42, rel. 100; (3 3 1), 2θ 44.78, rel. 29; (2 4 2), 2θ 49.31, rel. 30

Cell and atoms:
```
data_CeMn10Si2
_chemical_formula_sum 'Ce4 Mn40 Si8'
_cell_length_a 8.277
_cell_length_b 9.615
_cell_length_c 8.055
_cell_angle_alpha 90.00
_cell_angle_beta 90.00
_cell_angle_gamma 90.00
_symmetry_space_group_name_H-M 'C m c m'
_symmetry_Int_Tables_number 63
_symmetry_space_group_name_Hall '-C 2c 2'
loop_
_atom_site_label
_atom_site_type_symbol
_atom_site_fract_x
_atom_site_fract_y
_atom_site_fract_z
Ce1 Ce 0.000 0.129 0.250
Mn1 Mn 0.000 0.176 0.608
Mn2 Mn 0.000 0.397 0.068
Mn3 Mn 0.134 0.391 0.750
Mn4 Mn 0.217 0.000 0.000
Mn5 Mn 0.248 0.123 0.750
Si1 Si 0.250 0.250 0.000
```

---

This entry pairs a crystal structure of CeTiMnSi2 with its computed XRD peak list. Radiation: Cu Kα X-rays. Structure: the PBE geometry in Alexandria.
Intensities are scaled so that the largest is 100.

Top 10 peaks for 10 to 80 degrees two-theta, sorted by position:
(1 0 1), 2θ 23.70, rel. 39; (0 0 4), 2θ 32.72, rel. 18; (1 0 3), 2θ 33.25, rel. 53; (1 1 2), 2θ 35.75, rel. 100; (2 0 0), 2θ 45.38, rel. 35; (1 0 5), 2θ 47.34, rel. 26; (2 1 3), 2θ 57.40, rel. 22; (1 1 6), 2θ 60.39, rel. 15; (2 1 5), 2θ 67.66, rel. 18; (3 1 2), 2θ 77.50, rel. 21

Cell and atoms:
```
data_CeTiMnSi2
_chemical_formula_sum 'Ce2 Ti2 Mn2 Si4'
_cell_length_a 3.997
_cell_length_b 3.997
_cell_length_c 10.947
_cell_angle_alpha 90.00
_cell_angle_beta 90.00
_cell_angle_gamma 90.00
_symmetry_space_group_name_H-M 'I -4 m 2'
_symmetry_Int_Tables_number 119
_symmetry_space_group_name_Hall 'I -4 -2'
loop_
_atom_site_label
_atom_site_type_symbol
_atom_site_fract_x
_atom_site_fract_y
_atom_site_fract_z
Ce1 Ce 0.000 0.000 0.000
Ti1 Ti 0.000 0.500 0.250
Mn1 Mn 0.000 0.500 0.750
Si1 Si 0.000 0.000 0.390
```

---

This entry pairs a crystal structure of CeMnVSi2 with its computed XRD peak list. Radiation: Cu Kα X-rays. Structure: the PBE geometry in Alexandria.
Intensities are scaled so that the largest is 100.

Top 10 peaks for 10 to 80 degrees two-theta, sorted by position:
(1 0 1), 2θ 23.94, rel. 40; (0 0 4), 2θ 33.42, rel. 18; (1 0 3), 2θ 33.77, rel. 55; (1 1 2), 2θ 36.17, rel. 100; (2 0 0), 2θ 45.80, rel. 36; (1 0 5), 2θ 48.24, rel. 25; (2 1 3), 2θ 58.10, rel. 23; (1 1 6), 2θ 61.54, rel. 15; (2 1 5), 2θ 68.71, rel. 17; (3 1 2), 2θ 78.37, rel. 19

Cell and atoms:
```
data_CeMnVSi2
_chemical_formula_sum 'Ce2 Mn2 V2 Si4'
_cell_length_a 3.963
_cell_length_b 3.963
_cell_length_c 10.725
_cell_angle_alpha 90.00
_cell_angle_beta 90.00
_cell_angle_gamma 90.00
_symmetry_space_group_name_H-M 'I -4 m 2'
_symmetry_Int_Tables_number 119
_symmetry_space_group_name_Hall 'I -4 -2'
loop_
_atom_site_label
_atom_site_type_symbol
_atom_site_fract_x
_atom_site_fract_y
_atom_site_fract_z
Ce1 Ce 0.000 0.000 0.000
Mn1 Mn 0.000 0.500 0.750
V1 V 0.000 0.500 0.250
Si1 Si 0.000 0.000 0.386
```

---

This entry pairs a crystal structure of CeThMn with its computed XRD peak list. Radiation: Cu Kα X-rays. Structure: the PBE geometry in Alexandria.
Intensities are scaled so that the largest is 100.

Top 10 peaks for 10 to 80 degrees two-theta, sorted by position:
(4 0 0), 2θ 28.50, rel. 30; (1 1 1), 2θ 28.77, rel. 79; (3 1 0), 2θ 30.00, rel. 17; (3 1 -1), 2θ 31.55, rel. 100; (2 0 -2), 2θ 32.64, rel. 30; (4 0 1), 2θ 36.71, rel. 16; (2 0 2), 2θ 39.67, rel. 14; (0 2 0), 2θ 42.55, rel. 27; (5 1 1), 2θ 48.81, rel. 18; (2 2 -2), 2θ 54.64, rel. 21

Cell and atoms:
```
data_CeThMn
_chemical_formula_sum 'Ce4 Th4 Mn4'
_cell_length_a 12.961
_cell_length_b 4.249
_cell_length_c 5.574
_cell_angle_alpha 90.00
_cell_angle_beta 104.87
_cell_angle_gamma 90.00
_symmetry_space_group_name_H-M 'C 1 2/m 1'
_symmetry_Int_Tables_number 12
loop_
_symmetry_equiv_pos_as_xyz
'x,y,z'
'-x,-y,-z'
'-x,y,-z'
'x,-y,z'
'x+1/2,y+1/2,z'
'-x+1/2,-y+1/2,-z'
'-x+1/2,y+1/2,-z'
'x+1/2,-y+1/2,z'
loop_
_atom_site_label
_atom_site_type_symbol
_atom_site_fract_x
_atom_site_fract_y
_atom_site_fract_z
Ce1 Ce 0.099 0.000 0.314
Th1 Th 0.141 0.500 0.846
Mn1 Mn 0.242 0.000 0.626
```

---

This entry pairs a crystal structure of CeU2Mn9 with its computed XRD peak list. Radiation: Cu Kα X-rays. Structure: the PBE geometry in Alexandria.
Intensities are scaled so that the largest is 100.

Top 10 peaks for 10 to 80 degrees two-theta, sorted by position:
(1 1 0), 2θ 15.37, rel. 28; (0 0 1), 2θ 17.10, rel. 40; (2 1 0), 2θ 24.41, rel. 31; (2 1 1), 2θ 29.96, rel. 57; (0 0 2), 2θ 34.60, rel. 36; (3 1 0), 2θ 34.80, rel. 29; (3 1 1), 2θ 39.02, rel. 100; (2 0 2), 2θ 41.27, rel. 29; (2 1 2), 2θ 42.80, rel. 98; (3 2 1), 2θ 43.67, rel. 85

Cell and atoms:
```
data_CeU2Mn9
_chemical_formula_sum 'Ce2 U4 Mn18'
_cell_length_a 8.153
_cell_length_b 8.153
_cell_length_c 5.185
_cell_angle_alpha 90.00
_cell_angle_beta 90.00
_cell_angle_gamma 90.00
_symmetry_space_group_name_H-M 'P 4/m b m'
_symmetry_Int_Tables_number 127
_symmetry_space_group_name_Hall '-P 4 2ab'
loop_
_atom_site_label
_atom_site_type_symbol
_atom_site_fract_x
_atom_site_fract_y
_atom_site_fract_z
Ce1 Ce 0.000 0.000 0.000
U1 U 0.115 0.385 0.000
Mn1 Mn 0.000 0.500 0.500
Mn2 Mn 0.071 0.206 0.500
Mn3 Mn 0.181 0.681 0.253
```

---

This entry pairs a crystal structure of CeMo6 with its computed XRD peak list. Radiation: Cu Kα X-rays. Structure: the PBE geometry in Alexandria.
Intensities are scaled so that the largest is 100.

Top 10 peaks for 10 to 80 degrees two-theta, sorted by position:
(1 1 0), 2θ 18.11, rel. 6; (2 0 0), 2θ 25.72, rel. 43; (2 1 1), 2θ 31.63, rel. 100; (2 2 2), 2θ 45.34, rel. 21; (3 2 1), 2θ 49.20, rel. 57; (4 0 0), 2θ 52.85, rel. 27; (4 2 0), 2θ 59.68, rel. 16; (3 3 2), 2θ 62.92, rel. 13; (5 2 1), 2θ 75.10, rel. 16; (4 4 0), 2θ 78.01, rel. 17

Cell and atoms:
```
data_CeMo6
_chemical_formula_sum 'Ce2 Mo12'
_cell_length_a 6.929
_cell_length_b 6.929
_cell_length_c 6.929
_cell_angle_alpha 90.00
_cell_angle_beta 90.00
_cell_angle_gamma 90.00
_symmetry_space_group_name_H-M 'I m -3 m'
_symmetry_Int_Tables_number 229
_symmetry_space_group_name_Hall '-I 4 2 3'
loop_
_atom_site_label
_atom_site_type_symbol
_atom_site_fract_x
_atom_site_fract_y
_atom_site_fract_z
Ce1 Ce 0.000 0.000 0.000
Mo1 Mo 0.000 0.250 0.500
```

---

This entry pairs a crystal structure of Ce3MoN4 with its computed XRD peak list. Radiation: Cu Kα X-rays. Structure: the PBE geometry in Alexandria.
Intensities are scaled so that the largest is 100.

Top 10 peaks for 10 to 80 degrees two-theta, sorted by position:
(1 0 4), 2θ 31.69, rel. 100; (0 0 12), 2θ 32.69, rel. 32; (0 1 8), 2θ 37.05, rel. 93; (1 0 13), 2θ 46.94, rel. 9; (1 1 0), 2θ 52.74, rel. 36; (1 0 16), 2θ 54.05, rel. 22; (0 2 4), 2θ 62.85, rel. 15; (1 1 12), 2θ 63.44, rel. 25; (0 1 20), 2θ 64.61, rel. 7; (2 0 8), 2θ 66.20, rel. 16

Cell and atoms:
```
data_Ce3MoN4
_chemical_formula_sum 'Ce9 Mo3 N12'
_cell_length_a 3.4711
_cell_length_b 3.4711
_cell_length_c 32.8863
_cell_angle_alpha 90.00
_cell_angle_beta 90.00
_cell_angle_gamma 120.00
_symmetry_space_group_name_H-M 'R -3 m'
_symmetry_Int_Tables_number 166
_symmetry_space_group_name_Hall '-R 3 2"'
loop_
_atom_site_label
_atom_site_type_symbol
_atom_site_fract_x
_atom_site_fract_y
_atom_site_fract_z
Ce1 Ce 0.0000 0.0000 0.0000
Ce2 Ce 0.0000 0.0000 0.2417
Mo1 Mo 0.0000 0.0000 0.5000
N1 N 0.0000 0.0000 0.1335
N2 N 0.0000 0.0000 0.3787
```

---

This entry pairs a crystal structure of Ce2MoN6 with its computed XRD peak list. Radiation: Cu Kα X-rays. Structure: the PBE geometry in Alexandria.
Intensities are scaled so that the largest is 100.

Top 10 peaks for 10 to 80 degrees two-theta, sorted by position:
(1 1 0), 2θ 24.57, rel. 100; (1 0 3), 2θ 31.60, rel. 86; (2 0 0), 2θ 35.02, rel. 26; (2 1 3), 2θ 47.88, rel. 67; (2 2 0), 2θ 50.36, rel. 16; (3 1 0), 2θ 56.81, rel. 17; (1 1 6), 2θ 60.17, rel. 16; (3 0 3), 2θ 60.68, rel. 19; (2 0 6), 2θ 65.98, rel. 9; (3 2 3), 2θ 72.03, rel. 15

Cell and atoms:
```
data_Ce2MoN6
_chemical_formula_sum 'Ce4 Mo2 N12'
_cell_length_a 5.125
_cell_length_b 5.125
_cell_length_c 10.192
_cell_angle_alpha 90.00
_cell_angle_beta 90.00
_cell_angle_gamma 90.00
_symmetry_space_group_name_H-M 'P 42/m n m'
_symmetry_Int_Tables_number 136
_symmetry_space_group_name_Hall '-P 4n 2n'
loop_
_atom_site_label
_atom_site_type_symbol
_atom_site_fract_x
_atom_site_fract_y
_atom_site_fract_z
Ce1 Ce 0.000 0.000 0.171
Mo1 Mo 0.000 0.000 0.500
N1 N 0.185 0.185 0.351
N2 N 0.225 0.225 0.000
```